No. 1
Li2PaCuO6: simulated PXRD pattern (Cu Kα (λ = 1.5418 Å)), based on a cell relaxed with PBE.

Atomic structure:
a b c (Å): 5.7489 5.7489 5.7489
angles (deg): 52.88 52.88 52.88
Fractional positions:
Li 0.2023 0.2023 0.2023
Li 0.7977 0.7977 0.7977
Pa 0.0000 0.0000 0.0000
Cu 0.5000 0.5000 0.5000
O 0.1378 0.3879 0.7497
O 0.2503 0.8622 0.6121
O 0.3879 0.7497 0.1378
O 0.6121 0.2504 0.8622
O 0.7497 0.1378 0.3879
O 0.8622 0.6121 0.2503

Main lines, in order of rising 2θ (2θ = 15–90°):
2θ/deg, d [Å], Rel. int.
18.0, 4.931, 11
20.9, 4.247, 34
23.4, 3.803, 100
31.5, 2.840, 43
35.1, 2.560, 26
36.5, 2.462, 15
39.7, 2.272, 17
42.6, 2.124, 15
47.8, 1.901, 18
51.5, 1.776, 34
56.3, 1.634, 17
60.7, 1.526, 15

No. 2
CaAl9Ni: simulated PXRD pattern (Cu Kα (λ = 1.5418 Å)), based on a cell relaxed with PBE.

Atomic structure:
a b c (Å): 7.5711 7.5711 7.9470
angles (deg): 90.00 90.00 120.00
Fractional positions:
Ca 0.0000 0.0000 0.2500
Ca 0.0000 0.0000 0.7500
Al 0.0471 0.5235 0.2500
Al 0.2081 0.4163 0.5160
Al 0.2081 0.4163 0.9840
Al 0.2081 0.7919 0.5160
Al 0.2081 0.7919 0.9840
Al 0.4163 0.2081 0.0160
Al 0.4163 0.2081 0.4840
Al 0.4765 0.5235 0.2500
Al 0.4765 0.9529 0.2500
Al 0.5235 0.0471 0.7500
Al 0.5235 0.4765 0.7500
Al 0.5837 0.7919 0.5160
Al 0.5837 0.7919 0.9840
Al 0.7919 0.2081 0.0160
Al 0.7919 0.2081 0.4840
Al 0.7919 0.5837 0.0160
Al 0.7919 0.5837 0.4840
Al 0.9529 0.4765 0.7500
Ni 0.3333 0.6667 0.7500
Ni 0.6667 0.3333 0.2500

Main lines, in order of rising 2θ (2θ = 15–90°):
2θ/deg, d [Å], Rel. int.
17.5, 5.058, 62
23.5, 3.786, 26
32.7, 2.741, 66
35.5, 2.529, 100
36.2, 2.478, 26
38.0, 2.366, 54
43.0, 2.103, 67
45.7, 1.987, 41
47.5, 1.915, 43
48.1, 1.893, 46
50.4, 1.810, 25
68.5, 1.370, 29

No. 3
Ca2Hf7O16: simulated PXRD pattern (Cu Kα (λ = 1.5418 Å)), based on a cell relaxed with PBE.

Atomic structure:
a b c (Å): 9.5632 9.5632 9.5632
angles (deg): 38.82 38.82 38.82
Fractional positions:
Ca 0.1667 0.1667 0.1667
Ca 0.8333 0.8333 0.8333
Hf 0.0131 0.7570 0.3870
Hf 0.2430 0.6130 0.9869
Hf 0.3870 0.0131 0.7570
Hf 0.5000 0.5000 0.5000
Hf 0.6130 0.9869 0.2430
Hf 0.7570 0.3870 0.0131
Hf 0.9869 0.2430 0.6130
O 0.0736 0.0736 0.0736
O 0.0893 0.3498 0.6522
O 0.1718 0.7384 0.4678
O 0.2624 0.2624 0.2624
O 0.2616 0.5322 0.8282
O 0.3478 0.9107 0.6502
O 0.3498 0.6522 0.0893
O 0.4678 0.1718 0.7384
O 0.5322 0.8282 0.2616
O 0.6502 0.3478 0.9107
O 0.6522 0.0893 0.3498
O 0.7384 0.4678 0.1718
O 0.7376 0.7376 0.7376
O 0.8282 0.2616 0.5322
O 0.9107 0.6502 0.3478
O 0.9264 0.9264 0.9264

Main lines, in order of rising 2θ (2θ = 15–90°):
2θ/deg, d [Å], Rel. int.
21.0, 4.233, 12
23.3, 3.817, 9
29.9, 2.990, 100
30.4, 2.944, 33
34.8, 2.579, 46
49.7, 1.835, 26
50.3, 1.813, 28
59.1, 1.564, 11
59.3, 1.557, 23
59.9, 1.544, 16
62.1, 1.495, 7
73.4, 1.290, 9

No. 4
Pr2Ge3PdPt12: simulated PXRD pattern (Cu Kα (λ = 1.5418 Å)), based on a cell relaxed with PBE.

Atomic structure:
a b c (Å): 7.8573 7.8573 7.8573
angles (deg): 64.04 64.04 64.04
Fractional positions:
Pr 0.1161 0.1161 0.1161
Pr 0.8839 0.8839 0.8839
Ge 0.0000 0.5000 0.5000
Ge 0.5000 0.0000 0.5000
Ge 0.5000 0.5000 0.0000
Pd 0.5000 0.5000 0.5000
Pt 0.1209 0.6333 0.6333
Pt 0.1376 0.1376 0.6077
Pt 0.1376 0.6077 0.1376
Pt 0.3667 0.3667 0.8791
Pt 0.3667 0.8791 0.3667
Pt 0.3923 0.8624 0.8624
Pt 0.6077 0.1376 0.1376
Pt 0.6333 0.1209 0.6333
Pt 0.6333 0.6333 0.1209
Pt 0.8624 0.3923 0.8624
Pt 0.8624 0.8624 0.3923
Pt 0.8791 0.3667 0.3667

Main lines, in order of rising 2θ (2θ = 15–90°):
2θ/deg, d [Å], Rel. int.
21.3, 4.166, 10
22.7, 3.914, 12
31.4, 2.853, 100
43.4, 2.083, 69
46.4, 1.957, 56
54.6, 1.682, 20
65.4, 1.426, 21
72.2, 1.309, 17
76.5, 1.245, 14
79.7, 1.203, 11
81.9, 1.177, 22
88.1, 1.109, 8